No. 1
Starting from a cell relaxed with PBE, the PXRD pattern of MgCd3 was calculated for Cu Kα (weighted mean of Kα1 and Kα2).
Lines closer than 0.1° are merged.

Structure:
```
8
Lattice="6.3573 0.0000 0.0000 -3.1787 5.5056 0.0000 0.0000 0.0000 5.0422" Properties=species:S:1:pos:R:3 pbc="T T T"
Mg 0.0000 3.6704 1.2605
Mg 3.1787 1.8352 3.7816
Cd 0.0000 1.8391 3.7816
Cd -1.5860 4.5861 3.7816
Cd 1.5927 0.9195 1.2605
Cd 1.5860 4.5861 3.7816
Cd 4.7646 0.9195 1.2605
Cd 3.1787 3.6665 1.2605
```

The 10 most intense peaks (10 to 90 degrees two-theta), sorted by position:
2θ 23.93, rel. 18, hkl 1 0 1
2θ 28.07, rel. 8, hkl 1 1 0
2θ 32.53, rel. 24, hkl 2 0 0
2θ 35.61, rel. 25, hkl 0 0 2
2θ 37.21, rel. 100, hkl 2 0 1
2θ 48.99, rel. 15, hkl 2 0 2
2θ 58.03, rel. 17, hkl 2 2 0
2θ 65.02, rel. 18, hkl 2 0 3
2θ 69.98, rel. 19, hkl 2 2 2
2θ 70.98, rel. 14, hkl 4 0 1

No. 2
Starting from a cell relaxed with PBE, the PXRD pattern of Na2SnH14S3O7 was calculated for Cu Kα (weighted mean of Kα1 and Kα2).
Lines closer than 0.1° are merged.

Structure:
```
54
Lattice="7.2310 0.0000 0.0000 -2.9241 9.2782 0.0000 -0.3735 -0.5801 10.2991" Properties=species:S:1:pos:R:3 pbc="T T T"
Na -0.7440 4.2776 1.5796
Na 0.9906 3.0631 4.6055
Na 2.9428 5.6350 5.6936
Na 4.6774 4.4206 8.7195
Sn 2.4981 0.3078 9.0639
Sn 1.4352 8.3904 1.2352
H -0.2925 1.5635 2.5929
H -1.8170 6.8301 0.6568
H -0.3382 1.1539 6.5129
H -1.5045 5.3211 4.0453
H -2.2109 7.6243 5.1484
H -0.1117 2.6339 9.4764
H 1.0905 1.7540 1.9236
H -0.6047 6.5244 7.9316
H -0.0298 5.6774 4.2062
H 0.1181 5.6704 9.0608
H 0.6838 4.7345 7.1172
H 0.4017 7.4036 5.8383
H 1.6622 3.5506 7.3589
H 2.6889 0.9973 5.7467
H 1.2445 7.7008 4.5524
H 2.2712 5.1475 2.9403
H 3.5316 1.2945 4.4608
H 3.2496 3.9636 3.1819
H 3.8152 3.0277 1.2383
H 3.9632 3.0208 6.0929
H 4.5381 2.1737 2.3675
H 2.8428 6.9442 8.3755
H 4.0451 6.0642 0.8228
H 6.1443 1.0739 5.1507
H 5.4379 3.3771 6.2538
H 4.2716 7.5443 3.7863
H 5.7504 1.8680 9.6423
H 4.2258 7.1346 7.7063
S -1.2054 8.5276 7.0696
S -0.9241 9.0260 0.8026
S 2.2118 2.6139 9.3792
S 1.7216 6.0842 0.9200
S 4.8575 -0.3278 9.4965
S 5.1388 0.1705 3.2295
O -0.6452 1.7006 5.7631
O -1.0821 2.7670 9.6472
O -0.6124 4.9632 3.8506
O 0.4234 2.2316 2.4644
O -0.4072 5.5952 8.2268
O 1.3444 4.1585 6.6461
O 0.9452 6.9612 5.1362
O 2.9882 1.7369 5.1629
O 2.5890 4.5397 3.6530
O 4.3405 3.1029 2.0723
O 3.5100 6.4665 7.8347
O 4.5458 3.7349 6.4485
O 5.0155 5.9311 0.6519
O 4.5786 6.9976 4.5360
```

The 10 most intense peaks (10 to 90 degrees two-theta), sorted by position:
2θ 12.85, rel. 71, hkl 1 0 0
2θ 13.21, rel. 53, hkl 0 1 1
2θ 15.10, rel. 44, hkl 1 0 -1
2θ 15.95, rel. 100, hkl -1 1 1
2θ 18.23, rel. 41, hkl 1 1 0
2θ 26.87, rel. 30, hkl 2 0 -1
2θ 27.19, rel. 37, hkl 0 1 -3
2θ 30.51, rel. 32, hkl 2 0 -2
2θ 32.56, rel. 31, hkl 2 -3 0
2θ 40.59, rel. 28, hkl 2 -4 1